Entry 1:
# Y3Er8Sc
Simulated powder diffraction line list, Cu Kα, 1.54184 Å. Input: a structure optimized by DFT (PBE).
Peak positions follow from Bragg's law for the DFT cell and can differ from measured ones.

Peak list (10 most intense, 10° ≤ 2θ ≤ 90°, low angle first)
| hkl | d [Å] | I/Imax |
| --- | --- | --- |
| 1 1 2 | 4.386 | 9 |
| 2 0 0 | 3.798 | 46 |
| 2 2 0 | 2.686 | 100 |
| 2 2 4 | 2.193 | 14 |
| 4 0 0 | 1.899 | 18 |
| 4 2 0 | 1.699 | 19 |
| 4 2 4 | 1.551 | 37 |
| 4 4 0 | 1.343 | 11 |
| 4 2 8 | 1.267 | 5 |
| 6 2 0 | 1.201 | 10 |

Structural model:
Unit cell a=7.592 b=7.592 c=15.212 alpha=90.00 beta=90.00 gamma=90.00
Space group I4/mmm (No. 139)
Symmetry-distinct sites (fractional):
Y (0.000, 0.000, 0.000) [2 per cell]
Y (0.000, 0.500, 0.250) [4 per cell]
Er (0.245, 0.245, 0.378) [16 per cell]
Sc (0.000, 0.000, 0.500) [2 per cell]



Entry 2:
# LiEr2Cd6
Simulated powder diffraction line list, Cu Kα, 1.54184 Å. Input: a structure optimized by DFT (PBE).
Peak positions follow from Bragg's law for the DFT cell and can differ from measured ones.

Peak list (10 most intense, 10° ≤ 2θ ≤ 90°, low angle first)
| hkl | d [Å] | I/Imax |
| --- | --- | --- |
| 2 0 0 | 7.445 | 30 |
| 3 1 -1 | 2.614 | 68 |
| 3 1 1 | 2.607 | 34 |
| 6 0 0 | 2.482 | 100 |
| 0 4 1 | 1.801 | 22 |
| 6 2 1 | 1.796 | 11 |
| 6 4 -1 | 1.458 | 16 |
| 9 3 0 | 1.433 | 17 |
| 6 0 -2 | 1.372 | 15 |
| 6 0 2 | 1.369 | 15 |

Structural model:
Unit cell a=14.883 b=8.602 c=3.287 alpha=90.00 beta=90.24 gamma=90.00
Space group C2/m (No. 12)
Symmetry-distinct sites (fractional):
Li (0.000, 0.000, 0.000) [2 per cell]
Er (0.167, 0.500, 0.000) [4 per cell]
Cd (0.000, 0.330, 0.500) [4 per cell]
Cd (0.165, 0.165, 0.499) [8 per cell]



Entry 3:
# Cs3HgAu6
Simulated powder diffraction line list, Cu Kα, 1.54184 Å. Input: a structure optimized by DFT (PBE).
Peak positions follow from Bragg's law for the DFT cell and can differ from measured ones.

Peak list (10 most intense, 10° ≤ 2θ ≤ 90°, low angle first)
| hkl | d [Å] | I/Imax |
| --- | --- | --- |
| 0 0 1 | 7.883 | 100 |
| 2 0 0 | 5.387 | 73 |
| 2 0 1 | 3.772 | 50 |
| 1 1 2 | 3.016 | 45 |
| 4 0 -1 | 2.959 | 44 |
| 4 0 0 | 2.691 | 97 |
| 1 1 -3 | 2.666 | 38 |
| 1 3 1 | 2.304 | 72 |
| 3 3 -2 | 2.058 | 57 |
| 1 3 2 | 2.014 | 40 |

Structural model:
Unit cell a=11.883 b=7.651 c=8.694 alpha=90.00 beta=114.94 gamma=90.00
Space group C2/m (No. 12)
Symmetry-distinct sites (fractional):
Cs (0.000, 0.000, 0.000) [2 per cell]
Cs (0.065, 0.500, 0.796) [4 per cell]
Hg (0.000, 0.000, 0.500) [2 per cell]
Au (0.224, 0.000, 0.406) [4 per cell]
Au (0.243, 0.323, 0.288) [8 per cell]



Entry 4:
# H10PbC6S2IN
Simulated powder diffraction line list, Cu Kα, 1.54184 Å. Input: a structure optimized by DFT (PBE).
Peak positions follow from Bragg's law for the DFT cell and can differ from measured ones.

Peak list (10 most intense, 10° ≤ 2θ ≤ 90°, low angle first)
| hkl | d [Å] | I/Imax |
| --- | --- | --- |
| 0 1 -2 | 6.128 | 90 |
| 0 1 2 | 4.329 | 64 |
| 1 1 -1 | 4.169 | 63 |
| 1 -2 1 | 3.915 | 100 |
| 1 2 -1 | 3.456 | 54 |
| 0 1 3 | 3.180 | 59 |
| 1 -3 2 | 3.111 | 74 |
| 0 0 4 | 2.833 | 47 |
| 1 -1 4 | 2.528 | 55 |
| 1 3 1 | 2.397 | 51 |

Structural model:
Unit cell a=4.804 b=11.660 c=12.390 alpha=113.26 beta=91.16 gamma=97.65
Space group P-1 (No. 2)
Symmetry-distinct sites (fractional):
H (0.009, 0.091, 0.122) [2 per cell]
H (0.071, 0.533, 0.629) [2 per cell]
H (0.085, 0.183, 0.966) [2 per cell]
H (0.157, 0.631, 0.950) [2 per cell]
H (0.176, 0.281, 0.303) [2 per cell]
H (0.185, 0.768, 0.690) [2 per cell]
H (0.203, 0.420, 0.040) [2 per cell]
H (0.279, 0.841, 0.905) [2 per cell]
H (0.320, 0.604, 0.753) [2 per cell]
H (0.347, 0.247, 0.085) [2 per cell]
Pb (0.295, 0.178, 0.616) [2 per cell]
C (0.037, 0.729, 0.738) [2 per cell]
C (0.057, 0.819, 0.869) [2 per cell]
C (0.060, 0.374, 0.084) [2 per cell]
C (0.101, 0.598, 0.722) [2 per cell]
C (0.122, 0.241, 0.061) [2 per cell]
C (0.250, 0.567, 0.259) [2 per cell]
S (0.237, 0.664, 0.407) [2 per cell]
S (0.479, 0.618, 0.176) [2 per cell]
I (0.329, 0.992, 0.322) [2 per cell]
N (0.083, 0.455, 0.211) [2 per cell]



Entry 5:
# LiPm2RuO5
Simulated powder diffraction line list, Cu Kα, 1.54184 Å. Input: a structure optimized by DFT (PBE).
Peak positions follow from Bragg's law for the DFT cell and can differ from measured ones.

Peak list (10 most intense, 10° ≤ 2θ ≤ 90°, low angle first)
| hkl | d [Å] | I/Imax |
| --- | --- | --- |
| 0 0 1 | 5.769 | 74 |
| 1 1 0 | 4.783 | 69 |
| 2 1 0 | 3.025 | 38 |
| 2 0 1 | 2.918 | 100 |
| 0 0 2 | 2.885 | 41 |
| 2 1 1 | 2.679 | 97 |
| 2 1 2 | 2.088 | 70 |
| 3 1 1 | 2.006 | 55 |
| 2 1 3 | 1.623 | 28 |
| 4 1 1 | 1.578 | 28 |

Structural model:
Unit cell a=6.764 b=6.764 c=5.769 alpha=90.00 beta=90.00 gamma=90.00
Space group P4/mbm (No. 127)
Symmetry-distinct sites (fractional):
Li (0.000, 0.000, 0.000) [2 per cell]
Pm (0.177, 0.323, 0.500) [4 per cell]
Ru (0.000, 0.500, 0.000) [2 per cell]
O (0.000, 0.000, 0.500) [2 per cell]
O (0.136, 0.636, 0.249) [8 per cell]



Entry 6:
# HoThFeI
Simulated powder diffraction line list, Cu Kα, 1.54184 Å. Input: a structure optimized by DFT (PBE).
Peak positions follow from Bragg's law for the DFT cell and can differ from measured ones.

Peak list (10 most intense, 10° ≤ 2θ ≤ 90°, low angle first)
| hkl | d [Å] | I/Imax |
| --- | --- | --- |
| 0 0 1 | 8.016 | 31 |
| 1 -1 0 | 3.417 | 32 |
| 0 1 0 | 3.323 | 22 |
| 0 1 -2 | 2.994 | 100 |
| 0 1 1 | 2.813 | 46 |
| 1 0 -2 | 2.801 | 88 |
| 0 0 3 | 2.672 | 33 |
| 1 1 -1 | 1.995 | 47 |
| 2 -1 0 | 1.990 | 23 |
| -2 2 1 | 1.625 | 26 |

Structural model:
Unit cell a=3.980 b=3.987 c=8.332 alpha=103.62 beta=90.15 gamma=119.85
Space group P1 (No. 1)
Symmetry-distinct sites (fractional):
Ho (0.000, 0.000, 0.000) [1 per cell]
Th (0.217, 0.425, 0.651) [1 per cell]
Fe (0.601, 0.207, 0.803) [1 per cell]
I (0.768, 0.534, 0.306) [1 per cell]



Entry 7:
# AgPdPbCl6
Simulated powder diffraction line list, Cu Kα, 1.54184 Å. Input: a structure optimized by DFT (PBE).
Peak positions follow from Bragg's law for the DFT cell and can differ from measured ones.

Peak list (10 most intense, 10° ≤ 2θ ≤ 90°, low angle first)
| hkl | d [Å] | I/Imax |
| --- | --- | --- |
| 0 0 2 | 5.805 | 19 |
| 1 0 2 | 4.131 | 100 |
| 1 1 0 | 3.395 | 44 |
| 1 1 2 | 2.930 | 41 |
| 2 0 2 | 2.623 | 31 |
| 2 -1 4 | 2.206 | 71 |
| 2 1 2 | 2.075 | 32 |
| 3 0 0 | 1.960 | 31 |
| 2 2 4 | 1.465 | 17 |
| 5 -1 4 | 1.174 | 15 |

Structural model:
Unit cell a=6.7892 b=6.7892 c=11.6101 alpha=90.00 beta=90.00 gamma=120.00
Space group P-31c (No. 163)
Symmetry-distinct sites (fractional):
Ag (0.0000, 0.0000, 0.0000) [2 per cell]
Pd (0.3333, 0.6667, 0.2500) [2 per cell]
Pb (0.3333, 0.6667, 0.7500) [2 per cell]
Cl (0.0522, 0.3642, 0.1243) [12 per cell]



Entry 8:
# Na4Cd5In2
Simulated powder diffraction line list, Cu Kα, 1.54184 Å. Input: a structure optimized by DFT (PBE).
Peak positions follow from Bragg's law for the DFT cell and can differ from measured ones.

Peak list (10 most intense, 10° ≤ 2θ ≤ 90°, low angle first)
| hkl | d [Å] | I/Imax |
| --- | --- | --- |
| 0 0 2 | 5.321 | 47 |
| 0 1 0 | 3.371 | 100 |
| 0 1 2 | 2.847 | 47 |
| 1 1 -2 | 2.693 | 50 |
| 2 0 3 | 2.608 | 80 |
| 3 0 -1 | 2.585 | 78 |
| 1 0 -4 | 2.546 | 87 |
| 2 1 3 | 2.063 | 51 |
| 3 1 -1 | 2.051 | 49 |
| 1 1 -4 | 2.032 | 67 |

Structural model:
Unit cell a=7.941 b=3.371 c=10.647 alpha=90.00 beta=91.65 gamma=90.00
Space group P2/m (No. 10)
Symmetry-distinct sites (fractional):
Na (0.108, 0.000, 0.280) [2 per cell]
Na (0.290, 0.000, 0.826) [2 per cell]
Cd (0.000, 0.500, 0.000) [1 per cell]
Cd (0.173, 0.500, 0.556) [2 per cell]
Cd (0.357, 0.500, 0.087) [2 per cell]
In (0.457, 0.500, 0.362) [2 per cell]



Entry 9:
# CeTlPdSe2
Simulated powder diffraction line list, Cu Kα, 1.54184 Å. Input: a structure optimized by DFT (PBE).
Peak positions follow from Bragg's law for the DFT cell and can differ from measured ones.

Peak list (10 most intense, 10° ≤ 2θ ≤ 90°, low angle first)
| hkl | d [Å] | I/Imax |
| --- | --- | --- |
| 0 1 1 | 4.061 | 42 |
| 2 0 0 | 3.976 | 52 |
| 1 0 -2 | 3.818 | 35 |
| 1 1 1 | 3.485 | 100 |
| 2 0 -2 | 3.092 | 46 |
| 1 1 -2 | 2.971 | 60 |
| 1 1 2 | 2.711 | 85 |
| 1 2 0 | 2.266 | 61 |
| 3 1 -2 | 2.147 | 34 |
| 4 0 0 | 1.988 | 36 |

Structural model:
Unit cell a=8.084 b=4.730 c=8.019 alpha=90.00 beta=100.38 gamma=90.00
Space group P2/c (No. 13)
Symmetry-distinct sites (fractional):
Ce (0.000, 0.012, 0.250) [2 per cell]
Tl (0.500, 0.329, 0.750) [2 per cell]
Pd (0.000, 0.500, 0.000) [2 per cell]
Se (0.251, 0.191, 0.040) [4 per cell]